Calculated X-ray powder pattern of K4DyTm for a wavelength of 1.5418 Å, from a structure optimized by DFT (GGA-PBE).
Neutral-atom scattering factors, no anomalous dispersion.

Main lines, low angle first (5 to 70 degrees two-theta):
d = 10.478 Å, rel. 61.2, (0 0 2); d = 7.454 Å, rel. 51.2, (1 0 0); d = 6.074 Å, rel. 34.9, (1 0 2); d = 3.727 Å, rel. 45.5, (2 0 0); d = 3.493 Å, rel. 28.1, (0 0 6); d = 3.349 Å, rel. 18.5, (0 1 3); d = 3.054 Å, rel. 100.0, (1 1 3); d = 2.639 Å, rel. 22.6, (1 1 5); d = 2.548 Å, rel. 23.6, (2 0 6); d = 2.489 Å, rel. 17.2, (3 0 0); d = 2.248 Å, rel. 14.6, (2 1 5); d = 1.995 Å, rel. 28.6, (3 1 3)

Cell and atoms:
abc: 7.454 3.815 20.956
angles: 90.00 90.00 90.00
Space group Amm2 (No. 38)
One atom of each set of equivalent atoms:
K 0.000 0.000 0.000 (multiplicity 2)
K 0.000 0.000 0.328 (multiplicity 2)
K 0.000 0.000 0.657 (multiplicity 2)
K 0.500 0.000 0.830 (multiplicity 2)
Dy 0.500 0.000 0.144 (multiplicity 2)
Tm 0.500 0.000 0.513 (multiplicity 2)

Calculated X-ray powder pattern of LaDy2Mg3Pt3 for a wavelength of 1.5418 Å, from a structure optimized by DFT (GGA-PBE).
Neutral-atom scattering factors, no anomalous dispersion.

Main lines, low angle first (5 to 70 degrees two-theta):
d = 3.743 Å, rel. 25.4, (0 0 2); d = 3.713 Å, rel. 49.8, (0 3 1); d = 3.459 Å, rel. 40.8, (1 1 1); d = 2.764 Å, rel. 33.2, (1 0 2); d = 2.751 Å, rel. 58.8, (1 3 1); d = 2.538 Å, rel. 100.0, (1 2 2); d = 2.526 Å, rel. 40.1, (1 4 0); d = 2.155 Å, rel. 36.7, (0 3 3); d = 2.138 Å, rel. 18.3, (0 6 0); d = 2.088 Å, rel. 23.4, (1 5 1); d = 2.049 Å, rel. 32.3, (2 0 0); d = 1.485 Å, rel. 22.7, (2 3 3)

Cell and atoms:
abc: 4.097 12.829 7.486
angles: 90.00 90.00 90.00
Space group Amm2 (No. 38)
One atom of each set of equivalent atoms:
La 0.000 0.000 0.000 (multiplicity 2)
Dy 0.000 0.204 0.621 (multiplicity 4)
Mg 0.500 0.000 0.655 (multiplicity 2)
Mg 0.500 0.123 0.298 (multiplicity 4)
Pt 0.000 0.000 0.424 (multiplicity 2)
Pt 0.500 0.170 0.916 (multiplicity 4)

Calculated X-ray powder pattern of LaDyNi2Sn for a wavelength of 1.5418 Å, from a structure optimized by DFT (GGA-PBE).
Neutral-atom scattering factors, no anomalous dispersion.

Main lines, low angle first (5 to 70 degrees two-theta):
d = 3.467 Å, rel. 12.6, (1 1 0); d = 2.885 Å, rel. 17.3, (0 2 0); d = 2.683 Å, rel. 100.0, (1 1 2); d = 2.537 Å, rel. 27.0, (0 1 3); d = 2.385 Å, rel. 12.8, (0 2 2); d = 2.367 Å, rel. 12.6, (1 0 3); d = 2.311 Å, rel. 42.7, (1 2 1); d = 2.169 Å, rel. 25.5, (2 0 0); d = 1.648 Å, rel. 14.9, (2 1 3); d = 1.624 Å, rel. 14.1, (1 3 2); d = 1.590 Å, rel. 12.3, (0 3 3); d = 1.385 Å, rel. 22.2, (1 2 5)

Cell and atoms:
abc: 4.338 5.770 8.472
angles: 90.00 90.00 90.00
Space group Imm2 (No. 44)
One atom of each set of equivalent atoms:
La 0.000 0.000 0.000 (multiplicity 2)
Dy 0.000 0.000 0.406 (multiplicity 2)
Ni 0.000 0.290 0.709 (multiplicity 4)
Sn 0.000 0.500 0.199 (multiplicity 2)

Calculated X-ray powder pattern of La2Dy2O5 for a wavelength of 1.5418 Å, from a structure optimized by DFT (GGA-PBE).
Neutral-atom scattering factors, no anomalous dispersion.

Main lines, low angle first (5 to 70 degrees two-theta):
d = 4.350 Å, rel. 1.7, (1 0 0); d = 3.076 Å, rel. 52.8, (1 1 0); d = 2.907 Å, rel. 100.0, (1 0 2); d = 2.235 Å, rel. 2.4, (1 0 3); d = 2.175 Å, rel. 31.1, (2 0 0); d = 1.954 Å, rel. 9.9, (0 0 4); d = 1.741 Å, rel. 45.1, (2 1 2); d = 1.649 Å, rel. 15.6, (1 1 4); d = 1.538 Å, rel. 10.0, (2 2 0); d = 1.453 Å, rel. 14.7, (2 0 4); d = 1.376 Å, rel. 9.8, (3 1 0); d = 1.359 Å, rel. 9.9, (3 0 2)

Cell and atoms:
abc: 4.350 4.350 7.814
angles: 90.00 90.00 90.00
Space group P4/mmm (No. 123)
One atom of each set of equivalent atoms:
La 0.000 0.000 0.000 (multiplicity 1)
La 0.000 0.000 0.500 (multiplicity 1)
Dy 0.500 0.500 0.231 (multiplicity 2)
O 0.000 0.500 0.242 (multiplicity 4)
O 0.500 0.500 0.500 (multiplicity 1)